The following is a calculated PXRD pattern of Tb3BeB2N6. It was derived from a cell relaxed with GGA-PBE, using Cu Kα X-rays.

Largest 12 diffraction maxima, in order of falling intensity, 2θ = 10–90°:
d_spacing	intensity
3.589	100
2.628	55
2.456	45
2.120	37
1.650	24
1.794	24
1.563	21
1.482	18
1.517	10
1.234	9
1.945	9
1.159	9

Structural model:
```
Tb3BeB2N6
1.0
5.2557 0.0000 0.0000
-2.6279 4.5516 0.0000
0.0000 0.0000 5.8349
Tb Be B N
3 1 2 6
Direct
0.0000 0.0000 0.0000
0.3333 0.6667 0.6584
0.6667 0.3333 0.3416
0.0000 0.0000 0.5000
0.3333 0.6667 0.2514
0.6667 0.3333 0.7486
0.1762 0.3523 0.2903
0.1762 0.8238 0.2903
0.3523 0.1762 0.7097
0.6477 0.8238 0.2903
0.8238 0.1762 0.7097
0.8238 0.6477 0.7097
```

---

The following is a calculated PXRD pattern of RbAsH. It was derived from a cell relaxed with GGA-PBE, using Cu Kα X-rays.

Largest 12 diffraction maxima, in order of falling intensity, 2θ = 10–90°:
d_spacing	intensity
2.821	100
3.289	70
3.368	62
2.995	54
2.353	44
1.756	35
4.977	22
5.132	19
2.312	16
4.711	13
1.684	12
1.659	12

Structural model:
```
RbAsH
1.0
4.7498 -3.3680 0.0000
4.7498 3.3680 0.0000
-4.1511 0.0000 5.1322
Rb As H
2 2 2
Direct
0.0000 0.0000 0.0000
0.5813 0.4187 0.5000
0.3222 0.3411 0.8585
0.6589 0.6778 0.1415
0.4424 0.1244 0.6580
0.8756 0.5576 0.3420
```

---

The following is a calculated PXRD pattern of Na2Li4Ti3AlP6O24. It was derived from a cell relaxed with GGA-PBE, using Cu Kα X-rays.

Largest 12 diffraction maxima, in order of falling intensity, 2θ = 10–90°:
d_spacing	intensity
3.672	100
3.715	73
3.694	60
4.492	46
3.746	42
2.810	39
6.229	37
2.873	33
3.115	31
6.115	29
3.058	28
2.859	28

Structural model:
```
Na2Li4Ti3AlP6O24
1.0
8.4359 0.0000 0.0000
4.1816 7.3472 0.0000
0.1099 4.7856 7.6516
Na Li Ti Al P O
2 4 3 1 6 24
Direct
0.0000 0.0000 0.0000
0.3762 0.1623 0.5959
0.2620 0.9055 0.4360
0.5928 0.2906 0.2091
0.6899 0.6634 0.7304
0.9770 0.5384 0.4094
0.1937 0.3983 0.1296
0.4887 0.8018 0.0105
0.6881 0.3954 0.6159
0.9932 0.7917 0.5285
0.0971 0.3215 0.8069
0.2916 0.6025 0.3276
0.3812 0.6044 0.8116
0.5950 0.8925 0.3257
0.8173 0.8738 0.8203
0.8797 0.2950 0.3238
0.0812 0.2302 0.3001
0.1057 0.4880 0.6356
0.1442 0.3272 0.9665
0.1517 0.7754 0.3678
0.1922 0.7600 0.6628
0.1979 0.4874 0.3155
0.2381 0.0968 0.8383
0.3179 0.7253 0.1492
0.3652 0.4806 0.9947
0.4555 0.7391 0.8143
0.4634 0.1228 0.2919
0.4837 0.4225 0.4695
0.5335 0.4386 0.7722
0.5552 0.8807 0.1677
0.5562 0.7438 0.4851
0.6225 0.9174 0.8469
0.7150 0.4730 0.1526
0.8052 0.8237 0.3713
0.8240 0.0726 0.7581
0.8439 0.8031 0.6851
0.8551 0.3776 0.4516
0.8640 0.0984 0.3945
0.8918 0.3699 0.7809
0.9723 0.6961 0.9976
```

---

The following is a calculated PXRD pattern of ReIO4. It was derived from a cell relaxed with GGA-PBE, using Cu Kα X-rays.

Largest 12 diffraction maxima, in order of falling intensity, 2θ = 10–90°:
d_spacing	intensity
4.439	100
3.717	51
2.850	51
2.448	31
1.791	26
5.256	16
1.714	15
3.324	14
1.932	12
2.628	12
2.261	11
1.436	10

Structural model:
```
ReIO4
1.0
7.4384 0.0000 0.0000
0.0000 7.4280 0.0000
0.0000 0.0000 5.5336
Re I O
2 2 8
Direct
0.0000 0.2462 0.0000
0.5000 0.7538 0.5000
0.0000 0.6589 0.7250
0.5000 0.3411 0.2250
0.0000 0.1645 0.2920
0.0000 0.4992 0.0202
0.1896 0.1700 0.8496
0.3104 0.8300 0.3496
0.5000 0.5008 0.5202
0.5000 0.8355 0.7920
0.6896 0.8300 0.3496
0.8104 0.1700 0.8496
```

---

The following is a calculated PXRD pattern of La2AlAgIr. It was derived from a cell relaxed with GGA-PBE, using Cu Kα X-rays.

Largest 12 diffraction maxima, in order of falling intensity, 2θ = 10–90°:
d_spacing	intensity
2.790	100
3.634	82
1.817	56
4.789	54
2.213	43
2.411	38
1.973	37
3.045	36
2.395	33
1.523	32
1.107	23
1.824	17

Structural model:
```
La2AlAgIr
1.0
5.5798 0.0000 0.0000
0.0000 5.5798 0.0000
0.0000 0.0000 4.7894
La Al Ag Ir
2 1 1 1
Direct
0.0000 0.5000 0.0000
0.5000 0.0000 0.0000
0.0000 0.0000 0.5000
0.5000 0.5000 0.5000
0.0000 0.0000 0.0000
```

---

The following is a calculated PXRD pattern of Pm2TiCrN5. It was derived from a cell relaxed with GGA-PBE, using Cu Kα X-rays.

Largest 12 diffraction maxima, in order of falling intensity, 2θ = 10–90°:
d_spacing	intensity
3.041	100
2.316	73
2.670	43
3.481	39
2.870	33
2.693	31
2.582	26
2.262	25
3.179	24
1.795	24
1.438	19
5.740	19

Structural model:
```
Pm2TiCrN5
1.0
1.6324 -6.9623 0.0000
1.6324 6.9623 0.0000
0.0000 0.0000 10.1447
Pm Ti Cr N
4 2 2 10
Direct
0.1191 0.8809 0.5000
0.1364 0.8636 0.1427
0.8636 0.1364 0.6427
0.8809 0.1191 0.0000
0.2084 0.7916 0.8499
0.7916 0.2084 0.3499
0.4468 0.5532 0.2579
0.5532 0.4468 0.7579
0.0377 0.9623 0.8386
0.2955 0.7045 0.4779
0.3233 0.6767 0.2037
0.3416 0.6584 0.8272
0.4975 0.5025 0.6063
0.5025 0.4975 0.1063
0.6584 0.3416 0.3272
0.6767 0.3233 0.7037
0.7045 0.2955 0.9779
0.9623 0.0377 0.3386
```

---

- What is the formula in the fourth record?
  ReIO4

---

Repeat the second record exactly.
The following is a calculated PXRD pattern of RbAsH. It was derived from a cell relaxed with GGA-PBE, using Cu Kα X-rays.

Largest 12 diffraction maxima, in order of falling intensity, 2θ = 10–90°:
d_spacing	intensity
2.821	100
3.289	70
3.368	62
2.995	54
2.353	44
1.756	35
4.977	22
5.132	19
2.312	16
4.711	13
1.684	12
1.659	12

Structural model:
```
RbAsH
1.0
4.7498 -3.3680 0.0000
4.7498 3.3680 0.0000
-4.1511 0.0000 5.1322
Rb As H
2 2 2
Direct
0.0000 0.0000 0.0000
0.5813 0.4187 0.5000
0.3222 0.3411 0.8585
0.6589 0.6778 0.1415
0.4424 0.1244 0.6580
0.8756 0.5576 0.3420
```